No. 1
Theoretical X-ray diffraction stick pattern of BaMg6Zn for copper Kα, from a DFT-relaxed cell (GGA-PBE, the Materials Project).
Peak positions follow from Bragg's law for the DFT cell and can differ from measured ones.

Most intense lines, 10° ≤ 2θ ≤ 90°, by angle:
2θ 12.4, rel. 52, hkl 0 0 2
2θ 17.7, rel. 46, hkl 1 0 0
2θ 21.6, rel. 36, hkl 1 0 2
2θ 23.6, rel. 44, hkl 0 1 3
2θ 29.7, rel. 100, hkl 1 1 3
2θ 30.7, rel. 45, hkl 1 0 4
2θ 31.8, rel. 40, hkl 0 2 2
2θ 34.6, rel. 46, hkl 0 1 5
2θ 35.8, rel. 46, hkl 2 0 0
2θ 36.6, rel. 93, hkl 1 2 2

Crystal structure
```
data_BaMg6Zn
_cell_length_a 5.0210
_cell_length_b 6.1098
_cell_length_c 14.3262
_cell_angle_alpha 90.00
_cell_angle_beta 90.00
_cell_angle_gamma 90.00
_symmetry_space_group_name_H-M 'A m m 2'
_symmetry_Int_Tables_number 38
loop_
_symmetry_equiv_pos_as_xyz
'x,y,z'
'-x,-y,z'
'-x,y,z'
'x,-y,z'
'x,y+1/2,z+1/2'
'-x,-y+1/2,z+1/2'
'-x,y+1/2,z+1/2'
'x,-y+1/2,z+1/2'
loop_
_atom_site_label
_atom_site_type_symbol
_atom_site_fract_x
_atom_site_fract_y
_atom_site_fract_z
Ba1 Ba 0.0000 0.0000 0.0000
Mg1 Mg 0.0000 0.2395 0.7299
Mg2 Mg 0.5000 0.0000 0.1676
Mg3 Mg 0.5000 0.0000 0.5899
Mg4 Mg 0.5000 0.2466 0.3650
Zn1 Zn 0.0000 0.0000 0.3948
```

=====

No. 2
Theoretical X-ray diffraction stick pattern of TmGaO3 for copper Kα, from a DFT-relaxed cell (GGA-PBE, the Materials Project).
Peak positions follow from Bragg's law for the DFT cell and can differ from measured ones.

Most intense lines, 10° ≤ 2θ ≤ 90°, by angle:
2θ 23.3, rel. 13, hkl 1 0 1
2θ 26.1, rel. 22, hkl 1 1 1
2θ 32.1, rel. 17, hkl 2 0 0
2θ 33.3, rel. 100, hkl 1 2 1
2θ 34.2, rel. 37, hkl 0 0 2
2θ 47.6, rel. 15, hkl 2 0 2
2θ 47.9, rel. 14, hkl 0 4 0
2θ 49.2, rel. 13, hkl 2 1 2
2θ 53.7, rel. 18, hkl 3 1 1
2θ 60.7, rel. 26, hkl 1 2 3

Crystal structure
```
data_TmGaO3
_cell_length_a 5.5707
_cell_length_b 7.5997
_cell_length_c 5.2409
_cell_angle_alpha 90.00
_cell_angle_beta 90.00
_cell_angle_gamma 90.00
_symmetry_space_group_name_H-M 'P n m a'
_symmetry_Int_Tables_number 62
loop_
_symmetry_equiv_pos_as_xyz
'x,y,z'
'-x,-y,-z'
'-x+1/2,-y,z+1/2'
'x+1/2,y,-z+1/2'
'x+1/2,-y+1/2,-z+1/2'
'-x+1/2,y+1/2,z+1/2'
'-x,y+1/2,-z'
'x,-y+1/2,z'
loop_
_atom_site_label
_atom_site_type_symbol
_atom_site_fract_x
_atom_site_fract_y
_atom_site_fract_z
Tm1 Tm 0.0714 0.2500 0.0218
Ga1 Ga 0.0000 0.0000 0.5000
O1 O 0.0456 0.7500 0.3792
O2 O 0.1943 0.5615 0.8084
```

=====

No. 3
Theoretical X-ray diffraction stick pattern of CdC2O7 for copper Kα, from a DFT-relaxed cell (GGA-PBE, the Materials Project).
Peak positions follow from Bragg's law for the DFT cell and can differ from measured ones.

Most intense lines, 10° ≤ 2θ ≤ 90°, by angle:
2θ 12.7, rel. 44, hkl 0 1 0
2θ 14.5, rel. 100, hkl 0 1 -1
2θ 16.2, rel. 57, hkl 1 0 -1
2θ 17.4, rel. 30, hkl 1 -1 0
2θ 19.2, rel. 23, hkl -1 1 1
2θ 20.7, rel. 46, hkl 1 0 1
2θ 21.4, rel. 23, hkl 0 1 -2
2θ 25.6, rel. 44, hkl 0 2 -1
2θ 27.8, rel. 28, hkl 1 -1 2
2θ 29.2, rel. 47, hkl 0 2 -2

Crystal structure
```
data_CdC2O7
_cell_length_a 6.0139
_cell_length_b 7.2767
_cell_length_c 9.3830
_cell_angle_alpha 97.98
_cell_angle_beta 103.17
_cell_angle_gamma 102.86
_symmetry_space_group_name_H-M 'P -1'
_symmetry_Int_Tables_number 2
loop_
_symmetry_equiv_pos_as_xyz
'x,y,z'
'-x,-y,-z'
loop_
_atom_site_label
_atom_site_type_symbol
_atom_site_fract_x
_atom_site_fract_y
_atom_site_fract_z
Cd1 Cd 0.2251 0.1727 0.1828
C1 C 0.2544 0.7978 0.4064
C2 C 0.3834 0.9288 0.9475
O1 O 0.1389 0.3344 0.3500
O2 O 0.1478 0.8370 0.2980
O3 O 0.1912 0.9475 0.9771
O4 O 0.3666 0.7643 0.5144
O5 O 0.3787 0.3305 0.7541
O6 O 0.3973 0.8077 0.8431
O7 O 0.4306 0.5712 0.1598
```

=====

No. 4
Theoretical X-ray diffraction stick pattern of TmSnRh for copper Kα, from a DFT-relaxed cell (GGA-PBE, the Materials Project).
Peak positions follow from Bragg's law for the DFT cell and can differ from measured ones.

Most intense lines, 10° ≤ 2θ ≤ 90°, by angle:
2θ 33.6, rel. 100, hkl 1 1 1
2θ 36.2, rel. 43, hkl 2 1 0
2θ 36.4, rel. 75, hkl 2 0 1
2θ 41.2, rel. 40, hkl 3 0 0
2θ 43.7, rel. 17, hkl 2 1 1
2θ 48.6, rel. 20, hkl 0 0 2
2θ 56.1, rel. 15, hkl 3 1 1
2θ 62.1, rel. 18, hkl 2 1 2
2θ 65.6, rel. 20, hkl 3 0 2
2θ 66.9, rel. 31, hkl 3 2 1

Crystal structure
```
data_TmSnRh
_cell_length_a 7.5894
_cell_length_b 7.5894
_cell_length_c 3.7452
_cell_angle_alpha 90.00
_cell_angle_beta 90.00
_cell_angle_gamma 120.00
_symmetry_space_group_name_H-M 'P -6 2 m'
_symmetry_Int_Tables_number 189
_symmetry_space_group_name_Hall 'P -6 -2'
loop_
_atom_site_label
_atom_site_type_symbol
_atom_site_fract_x
_atom_site_fract_y
_atom_site_fract_z
Tm1 Tm 0.0000 0.4037 0.0000
Sn1 Sn 0.0000 0.7347 0.5000
Rh1 Rh 0.0000 0.0000 0.0000
Rh2 Rh 0.3333 0.6667 0.5000
```

=====

Q: Which formula does entry 3 have?
A: CdC2O7